This entry pairs a crystal structure of Y5P12Ru19 with its calculated powder X-ray diffraction pattern. Radiation: λ = 1.5418 Å (Cu Kα). Structure: a DFT-relaxed cell (GGA-PBE, Alexandria).
Intensities are scaled so that the largest is 100.

The 10 most intense peaks (2θ = 15–90°), sorted by position:
2θ 28.48, intensity 15, hkl 2 2 0; 2θ 31.30, intensity 11, hkl 2 1 1; 2θ 36.48, intensity 100, hkl 2 2 1; 2θ 37.44, intensity 26, hkl 3 1 1; 2θ 45.55, intensity 25, hkl 0 0 2; 2θ 46.58, intensity 11, hkl 5 1 0; 2θ 47.71, intensity 16, hkl 5 0 1; 2θ 50.44, intensity 13, hkl 6 0 0; 2θ 70.29, intensity 9, hkl 6 0 2; 2θ 78.18, intensity 12, hkl 2 2 3

Structure:
a = 12.535 Å, b = 12.535 Å, c = 3.983 Å
α = 90.00°, β = 90.00°, γ = 120.00°
Atoms (fractional coordinates):
Y1 0.000 0.183 0.000
Y2 0.183 0.000 0.000
Y3 0.333 0.667 0.500
Y4 0.667 0.333 0.500
Y5 0.817 0.817 0.000
P1 0.000 0.373 0.500
P2 0.000 0.815 0.500
P3 0.172 0.694 0.000
P4 0.185 0.185 0.500
P5 0.306 0.477 0.000
P6 0.373 0.000 0.500
P7 0.477 0.306 0.000
P8 0.523 0.828 0.000
P9 0.627 0.627 0.500
P10 0.694 0.172 0.000
P11 0.815 0.000 0.500
P12 0.828 0.523 0.000
Ru1 0.000 0.000 0.500
Ru2 0.000 0.555 0.500
Ru3 0.000 0.717 0.000
Ru4 0.126 0.492 0.000
Ru5 0.185 0.808 0.500
Ru6 0.192 0.377 0.500
Ru7 0.283 0.283 0.000
Ru8 0.366 0.874 0.000
Ru9 0.377 0.192 0.500
Ru10 0.445 0.445 0.500
Ru11 0.492 0.126 0.000
Ru12 0.508 0.634 0.000
Ru13 0.555 0.000 0.500
Ru14 0.623 0.815 0.500
Ru15 0.634 0.508 0.000
Ru16 0.717 0.000 0.000
Ru17 0.808 0.185 0.500
Ru18 0.815 0.623 0.500
Ru19 0.874 0.366 0.000